Record 1
Starting from a GGA-PBE-relaxed structure, the X-ray diffraction stick pattern of Nd2Sm2Se3O4 was calculated for a wavelength of 1.5418 Å.
Intensities are scaled so that the largest is 100.

Crystal structure
```
data_Nd2Sm2Se3O4
_cell_length_a 8.4093
_cell_length_b 3.9729
_cell_length_c 12.8212
_cell_angle_alpha 90.00
_cell_angle_beta 90.00
_cell_angle_gamma 90.00
_space_group_name_H-M_alt 'A m m 2'
_space_group_IT_number 38
loop_
_space_group_symop_operation_xyz
'x,y,z'
'-x,-y,z'
'-x,y,z'
'x,-y,z'
'x,y+1/2,z+1/2'
'-x,-y+1/2,z+1/2'
'-x,y+1/2,z+1/2'
'x,-y+1/2,z+1/2'
loop_
_atom_site_label
_atom_site_fract_x
_atom_site_fract_y
_atom_site_fract_z
_atom_site_occupancy
Nd1 0.0000 0.0000 0.0000 1
Nd2 0.5000 0.0000 0.0172 1
Sm1 0.2372 0.0000 0.6832 1
Se1 0.0000 0.0000 0.3122 1
Se2 0.3496 0.0000 0.3555 1
O1 0.0000 0.0000 0.5904 1
O2 0.2438 0.0000 0.0895 1
O3 0.5000 0.0000 0.6186 1
```

Main lines, in order of falling intensity (5 to 70 degrees two-theta):
| h k l | 2theta | I_rel |
| --- | --- | --- |
| 0 1 3 | 30.7 | 100 |
| 2 1 1 | 31.8 | 56 |
| 2 0 2 | 25.3 | 55 |
| 2 0 4 | 35.2 | 29 |
| 2 1 5 | 47.4 | 23 |
| 0 2 0 | 45.7 | 20 |
| 4 1 3 | 53.8 | 17 |
| 2 1 7 | 59.8 | 15 |

Record 2
Starting from a GGA-PBE-relaxed structure, the X-ray diffraction stick pattern of SmTmNO was calculated for a wavelength of 1.5418 Å.
Intensities are scaled so that the largest is 100.

Crystal structure
```
data_SmTmNO
_cell_length_a 4.8803
_cell_length_b 3.9902
_cell_length_c 6.9130
_cell_angle_alpha 90.00
_cell_angle_beta 90.00
_cell_angle_gamma 90.00
_space_group_name_H-M_alt 'P m m a'
_space_group_IT_number 51
loop_
_space_group_symop_operation_xyz
'x,y,z'
'-x,-y,-z'
'-x+1/2,-y,z'
'x+1/2,y,-z'
'x+1/2,-y,-z'
'-x+1/2,y,z'
'-x,y,-z'
'x,-y,z'
loop_
_atom_site_label
_atom_site_fract_x
_atom_site_fract_y
_atom_site_fract_z
_atom_site_occupancy
Sm1 0.2500 0.0000 0.1640 1
Tm1 0.2500 0.5000 0.6657 1
N1 0.2500 0.5000 0.3449 1
O1 0.2500 0.0000 0.8071 1
```

Main lines, in order of falling intensity (5 to 70 degrees two-theta):
| h k l | 2theta | I_rel |
| --- | --- | --- |
| 1 0 2 | 31.7 | 100 |
| 0 2 0 | 45.5 | 53 |
| 0 1 1 | 25.8 | 42 |
| 2 2 0 | 59.9 | 31 |
| 2 0 0 | 36.8 | 22 |
| 1 2 2 | 56.5 | 21 |
| 3 0 2 | 63.2 | 15 |
| 2 0 4 | 66.3 | 6 |

Record 3
Starting from a GGA-PBE-relaxed structure, the X-ray diffraction stick pattern of CdHgTeO was calculated for a wavelength of 1.5418 Å.
Intensities are scaled so that the largest is 100.

Crystal structure
```
data_CdHgTeO
_cell_length_a 6.1365
_cell_length_b 3.9994
_cell_length_c 15.1892
_cell_angle_alpha 90.00
_cell_angle_beta 90.00
_cell_angle_gamma 90.00
_space_group_name_H-M_alt 'P n m a'
_space_group_IT_number 62
loop_
_space_group_symop_operation_xyz
'x,y,z'
'-x,-y,-z'
'-x+1/2,-y,z+1/2'
'x+1/2,y,-z+1/2'
'x+1/2,-y+1/2,-z+1/2'
'-x+1/2,y+1/2,z+1/2'
'-x,y+1/2,-z'
'x,-y+1/2,z'
loop_
_atom_site_label
_atom_site_fract_x
_atom_site_fract_y
_atom_site_fract_z
_atom_site_occupancy
Cd1 0.2103 0.2500 0.1029 1
Hg1 0.1671 0.7500 0.3084 1
Te1 0.2459 0.2500 0.4364 1
O1 0.2304 0.2500 0.6701 1
```

Main lines, in order of falling intensity (5 to 70 degrees two-theta):
| h k l | 2theta | I_rel |
| --- | --- | --- |
| 0 1 3 | 28.4 | 100 |
| 1 1 3 | 32.0 | 74 |
| 2 0 0 | 29.1 | 73 |
| 2 1 3 | 41.1 | 49 |
| 1 0 6 | 38.5 | 40 |
| 2 0 1 | 29.7 | 34 |
| 0 2 0 | 45.4 | 29 |
| 0 0 8 | 47.9 | 25 |